Starting from a cell relaxed with GGA+U, the powder X-ray diffraction pattern of Li8CrO6 was computed for λ = 1.5418 Å (Cu Kα).

Cell and atoms:
a = 5.8795 Å, b = 5.8795 Å, c = 5.8795 Å
α = 54.73°, β = 54.73°, γ = 54.73°
Atoms (fractional coordinates):
Li  0.0107  0.7370  0.4005
Li  0.1587  0.1587  0.1587
Li  0.2630  0.5995  0.9893
Li  0.4005  0.0107  0.7370
Li  0.5995  0.9893  0.2630
Li  0.7370  0.4005  0.0107
Li  0.8413  0.8413  0.8413
Li  0.9893  0.2630  0.5995
Cr  0.5000  0.5000  0.5000
O  0.1264  0.4115  0.7299
O  0.2701  0.8736  0.5885
O  0.4115  0.7299  0.1264
O  0.5885  0.2701  0.8736
O  0.7299  0.1264  0.4115
O  0.8736  0.5885  0.2701

Principal peaks in the range 2θ = 5–70°, most intense first:
19.9 deg, I = 100
37.9 deg, I = 91
22.4 deg, I = 76
49.8 deg, I = 66
17.8 deg, I = 44
59.2 deg, I = 37

=====

Starting from a cell relaxed with GGA+U, the powder X-ray diffraction pattern of LiCrO2 was computed for λ = 1.5418 Å (Cu Kα).

Cell and atoms:
a = 4.0581 Å, b = 4.0581 Å, c = 5.2440 Å
α = 112.59°, β = 112.59°, γ = 89.99°
Atoms (fractional coordinates):
Li  0.1250  0.8750  0.7500
Li  0.8750  0.1250  0.2500
Cr  0.3760  0.6240  0.2500
Cr  0.6240  0.3760  0.7500
O  0.1436  0.3946  0.7891
O  0.3946  0.1436  0.2891
O  0.6054  0.8564  0.7109
O  0.8564  0.6054  0.2109

Principal peaks in the range 2θ = 5–70°, most intense first:
24.1 deg, I = 100
44.7 deg, I = 51
41.0 deg, I = 31
51.4 deg, I = 21
62.1 deg, I = 15
62.3 deg, I = 14